Entry 1:
The following is a simulated powder diffraction line list of Li3V4FeO12. It was derived from DFT lattice parameters and positions (GGA+U), using Cu Kα (weighted mean of Kα1 and Kα2).
Intensities are scaled so that the largest is 1000.

Atomic structure:
abc: 5.8876 6.8936 6.9198
angles: 81.50 74.70 73.60
Sites, in units of the cell vectors:
Li: 0.0000 0.0000 0.0000
Li: 0.0594 0.3178 0.6441
Li: 0.4765 0.5096 0.5198
V: 0.0424 0.4159 0.1269
V: 0.0720 0.8426 0.5399
V: 0.5349 0.6075 0.9437
V: 0.5623 0.0406 0.3526
Fe: 0.5562 0.1390 0.8180
O: 0.0308 0.3016 0.3571
O: 0.1061 0.6012 0.6463
O: 0.1526 0.2360 0.9561
O: 0.2365 0.5880 0.0855
O: 0.3801 0.8409 0.4140
O: 0.4656 0.2131 0.5424
O: 0.4941 0.8479 0.8447
O: 0.6254 0.1175 0.0960
O: 0.6349 0.4449 0.7571
O: 0.7363 0.5566 0.1131
O: 0.8796 0.8862 0.3702
O: 0.9534 0.0151 0.7227

Main lines, sorted by position (15 to 90 degrees two-theta):
two_theta	I_rel
18.18	792
19.69	552
25.37	509
25.77	484
27.79	1000
27.91	875
29.09	540
32.61	841

Entry 2:
The following is a simulated powder diffraction line list of KMoPClO5. It was derived from DFT lattice parameters and positions (GGA+U), using Cu Kα (weighted mean of Kα1 and Kα2).
Intensities are scaled so that the largest is 1000.

Atomic structure:
abc: 6.5538 6.5538 7.4301
angles: 90.00 90.00 90.00
Sites, in units of the cell vectors:
K: 0.2500 0.7500 0.0000
K: 0.7500 0.2500 0.0000
Mo: 0.2500 0.2500 0.4047
Mo: 0.7500 0.7500 0.5953
P: 0.2500 0.7500 0.5000
P: 0.7500 0.2500 0.5000
Cl: 0.2500 0.2500 0.0550
Cl: 0.7500 0.7500 0.9450
O: 0.0637 0.7500 0.6284
O: 0.2500 0.2500 0.6338
O: 0.2500 0.5637 0.3716
O: 0.2500 0.9363 0.3716
O: 0.4363 0.7500 0.6284
O: 0.5637 0.2500 0.3716
O: 0.7500 0.0637 0.6284
O: 0.7500 0.4363 0.6284
O: 0.7500 0.7500 0.3662
O: 0.9363 0.2500 0.3716

Main lines, sorted by position (15 to 90 degrees two-theta):
two_theta	I_rel
18.05	490
23.95	221
27.21	1000
27.60	177
36.56	278
38.87	431
56.14	230
63.48	200

Entry 3:
The following is a simulated powder diffraction line list of MgCo2Bi4O12. It was derived from DFT lattice parameters and positions (GGA+U), using Cu Kα (weighted mean of Kα1 and Kα2).
Intensities are scaled so that the largest is 1000.

Atomic structure:
abc: 10.3656 5.1030 5.1030
angles: 84.06 90.00 90.00
Sites, in units of the cell vectors:
Mg: 0.0000 0.0000 0.0000
Co: 0.0000 0.6511 0.6511
Co: 0.5000 0.2432 0.2432
Bi: 0.1905 0.2916 0.2916
Bi: 0.3407 0.7924 0.7924
Bi: 0.6593 0.7924 0.7924
Bi: 0.8095 0.2916 0.2916
O: 0.0000 0.4380 0.9676
O: 0.0000 0.9676 0.4380
O: 0.1782 0.5951 0.5951
O: 0.1888 0.9835 0.9835
O: 0.3554 0.1011 0.4772
O: 0.3554 0.4772 0.1011
O: 0.5000 0.6099 0.6099
O: 0.5000 0.9841 0.9841
O: 0.6446 0.1011 0.4772
O: 0.6446 0.4772 0.1011
O: 0.8112 0.9835 0.9835
O: 0.8218 0.5951 0.5951

Main lines, sorted by position (15 to 90 degrees two-theta):
two_theta	I_rel
19.47	278
23.47	502
26.08	529
31.32	1000
35.37	246
39.00	179
46.46	302
49.41	321

Entry 4:
The following is a simulated powder diffraction line list of Li7Ni12O24. It was derived from DFT lattice parameters and positions (GGA+U), using Cu Kα (weighted mean of Kα1 and Kα2).
Intensities are scaled so that the largest is 1000.

Atomic structure:
abc: 7.6623 7.6623 9.7460
angles: 122.30 122.30 67.42
Sites, in units of the cell vectors:
Li: 0.0000 0.0000 0.0000
Li: 0.0498 0.4424 0.2447
Li: 0.2291 0.3118 0.7648
Li: 0.4623 0.5377 0.5000
Li: 0.5576 0.9502 0.7553
Li: 0.6882 0.7709 0.2352
Li: 0.8046 0.1954 0.5000
Ni: 0.0158 0.7349 0.1272
Ni: 0.0896 0.1557 0.3758
Ni: 0.1726 0.5750 0.6206
Ni: 0.2651 0.9842 0.8728
Ni: 0.3449 0.3991 0.1234
Ni: 0.4250 0.8274 0.3794
Ni: 0.5093 0.2412 0.6212
Ni: 0.6009 0.6551 0.8766
Ni: 0.6832 0.0730 0.1285
Ni: 0.7588 0.4907 0.3788
Ni: 0.8443 0.9104 0.6242
Ni: 0.9270 0.3168 0.8715
O: 0.0118 0.0973 0.6957
O: 0.0796 0.8107 0.7910
O: 0.1154 0.4788 0.9434
O: 0.1434 0.2129 0.0347
O: 0.1893 0.9204 0.2090
O: 0.2390 0.6127 0.2883
O: 0.2515 0.3457 0.4402
O: 0.3251 0.0668 0.5504
O: 0.3873 0.7610 0.7117
O: 0.4023 0.4673 0.7830
O: 0.4471 0.1648 0.9542
O: 0.5212 0.8846 0.0566
O: 0.5327 0.5977 0.2170
O: 0.5805 0.3051 0.2984
O: 0.6268 0.0166 0.4620
O: 0.6543 0.7485 0.5598
O: 0.6949 0.4195 0.7016
O: 0.7610 0.1290 0.8011
O: 0.7871 0.8566 0.9653
O: 0.8352 0.5529 0.0458
O: 0.8710 0.2390 0.1989
O: 0.9027 0.9882 0.3043
O: 0.9332 0.6749 0.4496
O: 0.9834 0.3732 0.5380

Main lines, sorted by position (15 to 90 degrees two-theta):
two_theta	I_rel
18.44	1000
36.80	120
37.12	233
38.61	119
44.14	184
44.71	354
58.58	95
65.49	95